This entry pairs a crystal structure of RbPaAs2O8 with its simulated PXRD pattern. Radiation: Cu Kα (weighted mean of Kα1 and Kα2). Structure: a crystal structure in Alexandria, relaxed with PBE.

Cell and atoms:
a b c (Å): 5.7560 5.7560 8.5611
angles (deg): 90.00 90.00 120.00
Space group P-3m1 (No. 164)
Unique sites:
Rb (0.0000, 0.0000, 0.0000) [1 per cell]
Pa (0.0000, 0.0000, 0.5000) [1 per cell]
As (0.3333, 0.6667, 0.2661) [2 per cell]
O (0.1735, 0.3470, 0.3487) [6 per cell]
O (0.3333, 0.6667, 0.0727) [2 per cell]

Principal peaks in the range 15° ≤ 2θ ≤ 90°, most intense first:
2θ/deg  I (rel.)  index
27.5  100  1 0 2
20.6  78  1 0 1
31.1  57  1 1 0
17.8  51  1 0 0
41.9  37  2 0 2
53.1  32  2 1 2
53.3  25  1 1 4
37.6  18  0 2 1
49.5  15  2 1 1
71.7  14  1 3 2
46.2  11  0 1 4
55.3  11  3 0 0